This entry pairs a crystal structure of ZrIr3 with its calculated XRD peak list. Radiation: Cu Kα, 1.54184 Å. Structure: a GGA-PBE-relaxed structure.

Cell and atoms:
```
ZrIr3
1.0
3.9876 0.0000 0.0000
0.0000 3.9876 0.0000
0.0000 0.0000 3.9876
Zr Ir
1 3
direct
0.0000 0.0000 0.0000 Zr
0.0000 0.5000 0.5000 Ir
0.5000 0.0000 0.5000 Ir
0.5000 0.5000 0.0000 Ir
```

The 7 most intense peaks (2θ from 5° to 70°), in order of falling intensity:
39.13°, I 1000
45.49°, I 491
66.30°, I 321
22.29°, I 63
31.73°, I 55
51.23°, I 31
56.53°, I 23